Ba4As2O: simulated PXRD pattern (Cu Kα), based on a cell relaxed with GGA-PBE.

Crystal structure
```
14
Lattice="7.571 0.000 0.000 0.000 7.461 0.000 -3.030 0.000 9.025" Properties=species:S:1:pos:R:3 pbc="T T T"
Ba -0.660 0.040 2.225
Ba -0.660 3.691 2.225
Ba 1.486 1.865 5.233
Ba 2.949 1.865 1.242
Ba 1.593 5.596 7.783
Ba 3.055 5.596 3.791
Ba 5.201 3.771 6.800
Ba 5.201 7.421 6.800
As -0.023 5.596 4.977
As 1.774 5.596 0.605
As 2.767 1.865 8.420
As 4.564 1.865 4.048
O 0.895 1.865 2.760
O 3.646 5.596 6.265
```

Top 10 peaks for 10° ≤ 2θ ≤ 90°, in order of rising 2θ:
2θ (°)  Rel. int.  (hkl)
26.4  52  2 0 -2
26.5  51  1 0 2
26.9  100  1 2 0
29.0  40  2 1 -2
29.1  37  1 1 2
31.1  96  0 2 2
37.8  34  1 0 -4
39.6  20  3 1 0
47.0  34  2 2 -4
48.8  21  0 4 0